Entry 1:
Starting from a PBE-relaxed structure, the powder diffraction line list of Na4In5Sn was calculated for Cu Kα (λ = 1.5418 Å).
No peak broadening, texture or thermal motion is included.

Cell and atoms:
```
data_Na4In5Sn
_cell_length_a 9.5581
_cell_length_b 9.5581
_cell_length_c 6.7548
_cell_angle_alpha 90.00
_cell_angle_beta 90.00
_cell_angle_gamma 90.00
_space_group_name_H-M_alt 'I 4'
_space_group_IT_number 79
loop_
_space_group_symop_operation_xyz
'x,y,z'
'-y,x,z'
'-x,-y,z'
'y,-x,z'
'x+1/2,y+1/2,z+1/2'
'-y+1/2,x+1/2,z+1/2'
'-x+1/2,-y+1/2,z+1/2'
'y+1/2,-x+1/2,z+1/2'
loop_
_atom_site_label
_atom_site_type_symbol
_atom_site_fract_x
_atom_site_fract_y
_atom_site_fract_z
Na1 Na 0.0572 0.3120 0.0000
In1 In 0.0000 0.0000 0.7824
In2 In 0.0851 0.2309 0.4978
Sn1 Sn 0.0000 0.0000 0.2141
```

Principal peaks in the range 10 to 80 degrees two-theta, by intensity:
29.6°, 3.022 Å, rel. 100.0; 13.1°, 6.759 Å, rel. 90.4; 40.0°, 2.252 Å, rel. 89.2; 24.6°, 3.612 Å, rel. 70.4; 37.7°, 2.389 Å, rel. 64.9; 16.1°, 5.516 Å, rel. 42.3; 41.2°, 2.192 Å, rel. 42.3; 36.4°, 2.468 Å, rel. 39.3; 32.5°, 2.758 Å, rel. 36.3; 42.3°, 2.137 Å, rel. 34.3; 63.0°, 1.474 Å, rel. 26.7; 53.4°, 1.716 Å, rel. 24.0

=====

Entry 2:
Starting from a PBE-relaxed structure, the powder diffraction line list of LiPr4 was calculated for Cu Kα (λ = 1.5418 Å).
No peak broadening, texture or thermal motion is included.

Cell and atoms:
```
data_LiPr4
_cell_length_a 5.5769
_cell_length_b 5.5769
_cell_length_c 5.5769
_cell_angle_alpha 90.00
_cell_angle_beta 90.00
_cell_angle_gamma 90.00
_space_group_name_H-M_alt 'P m -3 m'
_space_group_IT_number 221
_space_group_name_Hall '-P 4 2 3'
loop_
_atom_site_label
_atom_site_type_symbol
_atom_site_fract_x
_atom_site_fract_y
_atom_site_fract_z
Li1 Li 0.0000 0.0000 0.0000
Pr1 Pr 0.0000 0.0000 0.5000
Pr2 Pr 0.5000 0.5000 0.5000
```

Principal peaks in the range 10 to 80 degrees two-theta, by intensity:
27.7°, 3.220 Å, rel. 100.0; 32.1°, 2.788 Å, rel. 53.0; 54.6°, 1.681 Å, rel. 45.4; 46.0°, 1.972 Å, rel. 39.0; 74.1°, 1.279 Å, rel. 18.2; 76.4°, 1.247 Å, rel. 17.3; 57.2°, 1.610 Å, rel. 13.6; 67.1°, 1.394 Å, rel. 6.3

=====

Entry 3:
Starting from a PBE-relaxed structure, the powder diffraction line list of Pu5RuRh2 was calculated for Cu Kα (λ = 1.5418 Å).
No peak broadening, texture or thermal motion is included.

Cell and atoms:
```
data_Pu5RuRh2
_cell_length_a 3.1036
_cell_length_b 19.7817
_cell_length_c 11.6761
_cell_angle_alpha 90.00
_cell_angle_beta 90.00
_cell_angle_gamma 90.00
_space_group_name_H-M_alt 'C m c m'
_space_group_IT_number 63
_space_group_name_Hall '-C 2c 2'
loop_
_atom_site_label
_atom_site_type_symbol
_atom_site_fract_x
_atom_site_fract_y
_atom_site_fract_z
Pu1 Pu 0.0000 0.0338 0.1152
Pu2 Pu 0.0000 0.2244 0.7500
Pu3 Pu 0.0000 0.3260 0.5290
Ru1 Ru 0.0000 0.1418 0.2500
Rh1 Rh 0.0000 0.0997 0.6307
```

Principal peaks in the range 10 to 80 degrees two-theta, by intensity:
31.9°, 2.802 Å, rel. 100.0; 35.5°, 2.531 Å, rel. 60.2; 43.8°, 2.068 Å, rel. 43.5; 35.7°, 2.516 Å, rel. 40.8; 42.8°, 2.114 Å, rel. 38.5; 37.2°, 2.419 Å, rel. 37.3; 29.1°, 3.066 Å, rel. 30.3; 31.2°, 2.871 Å, rel. 24.4; 59.4°, 1.557 Å, rel. 24.1; 39.6°, 2.275 Å, rel. 20.4; 72.5°, 1.304 Å, rel. 19.4; 69.2°, 1.357 Å, rel. 16.5

=====

Entry 4:
Starting from a PBE-relaxed structure, the powder diffraction line list of Li2BeZn was calculated for Cu Kα (λ = 1.5418 Å).
No peak broadening, texture or thermal motion is included.

Cell and atoms:
```
data_Li2BeZn
_cell_length_a 2.8514
_cell_length_b 2.8514
_cell_length_c 6.8323
_cell_angle_alpha 90.00
_cell_angle_beta 90.00
_cell_angle_gamma 90.00
_space_group_name_H-M_alt 'P 4 m m'
_space_group_IT_number 99
loop_
_space_group_symop_operation_xyz
'x,y,z'
'-y,x,z'
'-x,-y,z'
'y,-x,z'
'-x,y,z'
'y,x,z'
'x,-y,z'
'-y,-x,z'
loop_
_atom_site_label
_atom_site_type_symbol
_atom_site_fract_x
_atom_site_fract_y
_atom_site_fract_z
Li1 Li 0.0000 0.0000 0.0000
Li2 Li 0.5000 0.5000 0.3183
Be1 Be 0.5000 0.5000 0.7657
Zn1 Zn 0.0000 0.0000 0.5823
```

Principal peaks in the range 10 to 80 degrees two-theta, by intensity:
13.0°, 6.832 Å, rel. 100.0; 34.1°, 2.631 Å, rel. 34.5; 41.2°, 2.189 Å, rel. 33.3; 31.4°, 2.851 Å, rel. 21.6; 26.1°, 3.416 Å, rel. 17.0; 47.0°, 1.934 Å, rel. 15.3; 45.0°, 2.016 Å, rel. 14.1; 51.3°, 1.779 Å, rel. 14.0; 52.7°, 1.736 Å, rel. 9.6; 61.4°, 1.510 Å, rel. 6.3; 39.6°, 2.277 Å, rel. 6.1; 75.9°, 1.254 Å, rel. 6.0

=====

Entry 5:
Starting from a PBE-relaxed structure, the powder diffraction line list of Cs2Bi2Sb2Pb5 was calculated for Cu Kα (λ = 1.5418 Å).
No peak broadening, texture or thermal motion is included.

Cell and atoms:
```
data_Cs2Bi2Sb2Pb5
_cell_length_a 5.4751
_cell_length_b 5.4751
_cell_length_c 36.6810
_cell_angle_alpha 90.00
_cell_angle_beta 90.00
_cell_angle_gamma 90.00
_space_group_name_H-M_alt 'I 4/m m m'
_space_group_IT_number 139
_space_group_name_Hall '-I 4 2'
loop_
_atom_site_label
_atom_site_type_symbol
_atom_site_fract_x
_atom_site_fract_y
_atom_site_fract_z
Cs1 Cs 0.0000 0.0000 0.2106
Bi1 Bi 0.0000 0.0000 0.3236
Sb1 Sb 0.0000 0.0000 0.0824
Pb1 Pb 0.0000 0.0000 0.0000
Pb2 Pb 0.0000 0.5000 0.1252
```

Principal peaks in the range 10 to 80 degrees two-theta, by intensity:
32.7°, 2.738 Å, rel. 100.0; 30.2°, 2.958 Å, rel. 93.9; 25.0°, 3.567 Å, rel. 91.4; 37.5°, 2.399 Å, rel. 79.0; 27.3°, 3.270 Å, rel. 55.8; 17.7°, 4.997 Å, rel. 43.5; 56.8°, 1.620 Å, rel. 41.3; 46.9°, 1.936 Å, rel. 37.1; 61.6°, 1.507 Å, rel. 34.8; 43.1°, 2.099 Å, rel. 28.2; 16.4°, 5.415 Å, rel. 25.2; 34.2°, 2.623 Å, rel. 23.8

=====

Entry 6:
Starting from a PBE-relaxed structure, the powder diffraction line list of Th2Zn3CdAu4 was calculated for Cu Kα (λ = 1.5418 Å).
No peak broadening, texture or thermal motion is included.

Cell and atoms:
```
data_Th2Zn3CdAu4
_cell_length_a 4.2704
_cell_length_b 4.2704
_cell_length_c 11.6300
_cell_angle_alpha 90.00
_cell_angle_beta 90.00
_cell_angle_gamma 90.00
_space_group_name_H-M_alt 'P -4 m 2'
_space_group_IT_number 115
loop_
_space_group_symop_operation_xyz
'x,y,z'
'y,-x,-z'
'-x,-y,z'
'-y,x,-z'
'-x,y,z'
'-y,-x,-z'
'x,-y,z'
'y,x,-z'
loop_
_atom_site_label
_atom_site_type_symbol
_atom_site_fract_x
_atom_site_fract_y
_atom_site_fract_z
Th1 Th 0.0000 0.5000 0.2341
Zn1 Zn 0.0000 0.5000 0.8714
Zn2 Zn 0.5000 0.5000 0.5000
Cd1 Cd 0.0000 0.0000 0.5000
Au1 Au 0.0000 0.0000 0.0000
Au2 Au 0.0000 0.5000 0.6544
Au3 Au 0.5000 0.5000 0.0000
```

Principal peaks in the range 10 to 80 degrees two-theta, by intensity:
33.4°, 2.680 Å, rel. 100.0; 42.3°, 2.135 Å, rel. 47.3; 31.2°, 2.870 Å, rel. 32.9; 44.3°, 2.043 Å, rel. 27.2; 71.8°, 1.315 Å, rel. 22.4; 63.0°, 1.476 Å, rel. 19.4; 61.4°, 1.510 Å, rel. 15.8; 53.5°, 1.713 Å, rel. 14.7; 25.9°, 3.442 Å, rel. 13.9; 43.2°, 2.094 Å, rel. 13.3; 37.4°, 2.403 Å, rel. 10.0; 64.0°, 1.455 Å, rel. 9.6

=====

Repeat the fifth record exactly.
Starting from a PBE-relaxed structure, the powder diffraction line list of Cs2Bi2Sb2Pb5 was calculated for Cu Kα (λ = 1.5418 Å).
No peak broadening, texture or thermal motion is included.

Cell and atoms:
```
data_Cs2Bi2Sb2Pb5
_cell_length_a 5.4751
_cell_length_b 5.4751
_cell_length_c 36.6810
_cell_angle_alpha 90.00
_cell_angle_beta 90.00
_cell_angle_gamma 90.00
_space_group_name_H-M_alt 'I 4/m m m'
_space_group_IT_number 139
_space_group_name_Hall '-I 4 2'
loop_
_atom_site_label
_atom_site_type_symbol
_atom_site_fract_x
_atom_site_fract_y
_atom_site_fract_z
Cs1 Cs 0.0000 0.0000 0.2106
Bi1 Bi 0.0000 0.0000 0.3236
Sb1 Sb 0.0000 0.0000 0.0824
Pb1 Pb 0.0000 0.0000 0.0000
Pb2 Pb 0.0000 0.5000 0.1252
```

Principal peaks in the range 10 to 80 degrees two-theta, by intensity:
32.7°, 2.738 Å, rel. 100.0; 30.2°, 2.958 Å, rel. 93.9; 25.0°, 3.567 Å, rel. 91.4; 37.5°, 2.399 Å, rel. 79.0; 27.3°, 3.270 Å, rel. 55.8; 17.7°, 4.997 Å, rel. 43.5; 56.8°, 1.620 Å, rel. 41.3; 46.9°, 1.936 Å, rel. 37.1; 61.6°, 1.507 Å, rel. 34.8; 43.1°, 2.099 Å, rel. 28.2; 16.4°, 5.415 Å, rel. 25.2; 34.2°, 2.623 Å, rel. 23.8

=====

What did the third record say?
Starting from a PBE-relaxed structure, the powder diffraction line list of Pu5RuRh2 was calculated for Cu Kα (λ = 1.5418 Å).
No peak broadening, texture or thermal motion is included.

Cell and atoms:
```
data_Pu5RuRh2
_cell_length_a 3.1036
_cell_length_b 19.7817
_cell_length_c 11.6761
_cell_angle_alpha 90.00
_cell_angle_beta 90.00
_cell_angle_gamma 90.00
_space_group_name_H-M_alt 'C m c m'
_space_group_IT_number 63
_space_group_name_Hall '-C 2c 2'
loop_
_atom_site_label
_atom_site_type_symbol
_atom_site_fract_x
_atom_site_fract_y
_atom_site_fract_z
Pu1 Pu 0.0000 0.0338 0.1152
Pu2 Pu 0.0000 0.2244 0.7500
Pu3 Pu 0.0000 0.3260 0.5290
Ru1 Ru 0.0000 0.1418 0.2500
Rh1 Rh 0.0000 0.0997 0.6307
```

Principal peaks in the range 10 to 80 degrees two-theta, by intensity:
31.9°, 2.802 Å, rel. 100.0; 35.5°, 2.531 Å, rel. 60.2; 43.8°, 2.068 Å, rel. 43.5; 35.7°, 2.516 Å, rel. 40.8; 42.8°, 2.114 Å, rel. 38.5; 37.2°, 2.419 Å, rel. 37.3; 29.1°, 3.066 Å, rel. 30.3; 31.2°, 2.871 Å, rel. 24.4; 59.4°, 1.557 Å, rel. 24.1; 39.6°, 2.275 Å, rel. 20.4; 72.5°, 1.304 Å, rel. 19.4; 69.2°, 1.357 Å, rel. 16.5

=====

Number 5 is which compound? Cs2Bi2Sb2Pb5